Record 1
Diffraction record for HoPuGa6. The X-ray powder pattern is simulated, not measured: it uses a crystal structure in Alexandria, relaxed with PBE and λ = 1.5418 Å (Cu Kα).

Main lines, in order of rising 2θ (2θ = 10–80°):
2θ 25.4, intensity 29
2θ 28.8, intensity 12
2θ 33.4, intensity 21
2θ 38.8, intensity 100
2θ 49.0, intensity 11
2θ 52.1, intensity 12
2θ 59.7, intensity 14
2θ 65.9, intensity 8
2θ 70.1, intensity 16
2θ 73.5, intensity 26

Crystal structure
```
data_HoPuGa6
_chemical_formula_sum 'Ho1 Pu1 Ga6'
_space_group_name_H-M_alt 'P -6 m 2'
_space_group_IT_number 187
_space_group_name_Hall 'P -6 2'
_cell_length_a 6.1953
_cell_length_b 6.1953
_cell_length_c 4.6477
_cell_angle_alpha 90.00
_cell_angle_beta 90.00
_cell_angle_gamma 120.00
loop_
_atom_site_label
_atom_site_type_symbol
_atom_site_fract_x
_atom_site_fract_y
_atom_site_fract_z
Ho1 Ho 0.0000 0.0000 0.0000
Pu1 Pu 0.3333 0.6667 0.5000
Ga1 Ga 0.3636 0.1818 0.5000
Ga2 Ga 0.5154 0.0309 0.0000
```

Record 2
Diffraction record for Ac2PmGe6. The X-ray powder pattern is simulated, not measured: it uses a crystal structure in Alexandria, relaxed with PBE and λ = 1.5418 Å (Cu Kα).

Main lines, in order of rising 2θ (2θ = 10–80°):
2θ 21.3, intensity 47
2θ 24.0, intensity 37
2θ 26.8, intensity 67
2θ 32.4, intensity 83
2θ 33.9, intensity 100
2θ 35.6, intensity 38
2θ 40.5, intensity 68
2θ 42.4, intensity 32
2θ 53.5, intensity 37
2θ 60.0, intensity 43

Crystal structure
```
data_Ac2PmGe6
_chemical_formula_sum 'Ac4 Pm2 Ge12'
_space_group_name_H-M_alt 'I m m m'
_space_group_IT_number 71
_space_group_name_Hall '-I 2 2'
_cell_length_a 4.267
_cell_length_b 7.455
_cell_length_c 15.117
_cell_angle_alpha 90.00
_cell_angle_beta 90.00
_cell_angle_gamma 90.00
loop_
_atom_site_label
_atom_site_type_symbol
_atom_site_fract_x
_atom_site_fract_y
_atom_site_fract_z
Ac1 Ac 0.000 0.000 0.154
Pm1 Pm 0.000 0.500 0.000
Ge1 Ge 0.000 0.167 0.355
Ge2 Ge 0.000 0.324 0.500
```

Record 3
Diffraction record for Hf2Zn5Ag2Au3. The X-ray powder pattern is simulated, not measured: it uses a crystal structure in Alexandria, relaxed with PBE and λ = 1.5418 Å (Cu Kα).

Main lines, in order of rising 2θ (2θ = 10–80°):
2θ 10.7, intensity 16
2θ 28.2, intensity 19
2θ 34.9, intensity 41
2θ 35.1, intensity 53
2θ 35.6, intensity 30
2θ 38.9, intensity 50
2θ 39.0, intensity 100
2θ 50.6, intensity 48
2θ 65.7, intensity 44
2θ 73.2, intensity 26

Crystal structure
```
data_Hf2Zn5Ag2Au3
_chemical_formula_sum 'Hf4 Zn10 Ag4 Au6'
_space_group_name_H-M_alt 'I 4/m m m'
_space_group_IT_number 139
_space_group_name_Hall '-I 4 2'
_cell_length_a 3.611
_cell_length_b 3.611
_cell_length_c 33.007
_cell_angle_alpha 90.00
_cell_angle_beta 90.00
_cell_angle_gamma 90.00
loop_
_atom_site_label
_atom_site_type_symbol
_atom_site_fract_x
_atom_site_fract_y
_atom_site_fract_z
Hf1 Hf 0.000 0.000 0.222
Zn1 Zn 0.000 0.000 0.000
Zn2 Zn 0.000 0.500 0.071
Ag1 Ag 0.000 0.000 0.132
Au1 Au 0.000 0.000 0.320
Au2 Au 0.000 0.000 0.500
```

Record 4
Diffraction record for LaNdNiAu. The X-ray powder pattern is simulated, not measured: it uses a crystal structure in Alexandria, relaxed with PBE and λ = 1.5418 Å (Cu Kα).

Main lines, in order of rising 2θ (2θ = 10–80°):
2θ 16.3, intensity 17
2θ 30.7, intensity 100
2θ 33.0, intensity 24
2θ 33.5, intensity 29
2θ 38.4, intensity 57
2θ 38.8, intensity 69
2θ 45.8, intensity 21
2θ 51.9, intensity 20
2θ 61.2, intensity 29
2θ 77.7, intensity 15

Crystal structure
```
data_LaNdNiAu
_chemical_formula_sum 'La2 Nd2 Ni2 Au2'
_space_group_name_H-M_alt 'A m m 2'
_space_group_IT_number 38
_space_group_name_Hall 'A 2 -2'
_cell_length_a 4.689
_cell_length_b 3.964
_cell_length_c 10.850
_cell_angle_alpha 90.00
_cell_angle_beta 90.00
_cell_angle_gamma 90.00
loop_
_atom_site_label
_atom_site_type_symbol
_atom_site_fract_x
_atom_site_fract_y
_atom_site_fract_z
La1 La 0.000 0.000 0.000
Nd1 Nd 0.500 0.000 0.723
Ni1 Ni 0.000 0.000 0.279
Au1 Au 0.500 0.000 0.437
```

Record 5
Diffraction record for Sm5Zn2Sn. The X-ray powder pattern is simulated, not measured: it uses a crystal structure in Alexandria, relaxed with PBE and λ = 1.5418 Å (Cu Kα).

Main lines, in order of rising 2θ (2θ = 10–80°):
2θ 26.3, intensity 16
2θ 28.9, intensity 24
2θ 31.4, intensity 100
2θ 32.5, intensity 13
2θ 33.3, intensity 38
2θ 36.2, intensity 12
2θ 36.5, intensity 51
2θ 51.8, intensity 14
2θ 55.9, intensity 17
2θ 66.2, intensity 15

Crystal structure
```
data_Sm5Zn2Sn
_chemical_formula_sum 'Sm20 Zn8 Sn4'
_space_group_name_H-M_alt 'I 4/m c m'
_space_group_IT_number 140
_space_group_name_Hall '-I 4 2c'
_cell_length_a 7.782
_cell_length_b 7.782
_cell_length_c 14.904
_cell_angle_alpha 90.00
_cell_angle_beta 90.00
_cell_angle_gamma 90.00
loop_
_atom_site_label
_atom_site_type_symbol
_atom_site_fract_x
_atom_site_fract_y
_atom_site_fract_z
Sm1 Sm 0.000 0.000 0.000
Sm2 Sm 0.163 0.337 0.149
Zn1 Zn 0.123 0.377 0.500
Sn1 Sn 0.000 0.000 0.250
```